Entry 1:
Starting from a DFT-relaxed cell (PBE+U, Alexandria), the powder X-ray diffraction pattern of Co2NiRhO4 was computed for λ = 1.5418 Å (Cu Kα).
Peak positions follow from Bragg's law for the DFT cell and can differ from measured ones.

Crystal structure
```
data_Co2NiRhO4
_symmetry_space_group_name_H-M 'C 1 2/c 1'
_symmetry_Int_Tables_number 15
_cell_length_a 8.154
_cell_length_b 8.296
_cell_length_c 6.317
_cell_angle_alpha 90.00
_cell_angle_beta 127.28
_cell_angle_gamma 90.00
loop_
_symmetry_equiv_pos_as_xyz
'x,y,z'
'-x,-y,-z'
'-x,y,-z+1/2'
'x,-y,z+1/2'
'x+1/2,y+1/2,z'
'-x+1/2,-y+1/2,-z'
'-x+1/2,y+1/2,-z+1/2'
'x+1/2,-y+1/2,z+1/2'
loop_
_atom_site_label
_atom_site_fract_x
_atom_site_fract_y
_atom_site_fract_z
Co1 0.000 0.000 0.000
Co2 0.250 0.250 0.000
Ni1 0.250 0.250 0.500
Rh1 0.000 0.500 0.000
O1 0.047 0.255 0.081
O2 0.207 0.008 0.899
```

Most intense lines, 2θ = 10–90°, by intensity:
- d 2.555, 2θ = 35.12°, I 100
- d 2.478, 2θ = 36.26°, I 93
- d 2.513, 2θ = 35.73°, I 87
- d 2.074, 2θ = 43.64°, I 59
- d 2.036, 2θ = 44.50°, I 56
- d 1.600, 2θ = 57.63°, I 39
- d 1.453, 2θ = 64.09°, I 33
- d 1.474, 2θ = 63.06°, I 27
- d 1.430, 2θ = 65.27°, I 24
- d 1.622, 2θ = 56.75°, I 21

Entry 2:
Starting from a DFT-relaxed cell (PBE+U, Alexandria), the powder X-ray diffraction pattern of CoNiTe2O6 was computed for λ = 1.5418 Å (Cu Kα).
Peak positions follow from Bragg's law for the DFT cell and can differ from measured ones.

Crystal structure
```
data_CoNiTe2O6
_symmetry_space_group_name_H-M 'P 1'
_symmetry_Int_Tables_number 1
_cell_length_a 5.818
_cell_length_b 5.822
_cell_length_c 5.842
_cell_angle_alpha 100.95
_cell_angle_beta 119.81
_cell_angle_gamma 107.99
loop_
_symmetry_equiv_pos_as_xyz
'x,y,z'
loop_
_atom_site_label
_atom_site_fract_x
_atom_site_fract_y
_atom_site_fract_z
Co1 0.000 0.000 0.000
Ni1 0.096 0.596 0.500
Te1 0.394 0.190 0.742
Te2 0.450 0.651 0.258
O1 0.092 0.380 0.171
O2 0.112 0.917 0.340
O3 0.164 0.368 0.729
O4 0.210 0.921 0.830
O5 0.578 0.773 0.660
O6 0.641 0.434 0.273
```

Most intense lines, 2θ = 10–90°, by intensity:
- d 4.445, 2θ = 19.98°, I 100
- d 2.857, 2θ = 31.31°, I 82
- d 2.841, 2θ = 31.49°, I 77
- d 3.421, 2θ = 26.05°, I 48
- d 2.923, 2θ = 30.58°, I 43
- d 2.125, 2θ = 42.55°, I 34
- d 1.678, 2θ = 54.71°, I 23
- d 1.911, 2θ = 47.57°, I 21
- d 2.740, 2θ = 32.68°, I 21
- d 2.222, 2θ = 40.59°, I 18

Entry 3:
Starting from a DFT-relaxed cell (PBE+U, Alexandria), the powder X-ray diffraction pattern of V4CoNiO12 was computed for λ = 1.5418 Å (Cu Kα).
Peak positions follow from Bragg's law for the DFT cell and can differ from measured ones.

Crystal structure
```
data_V4CoNiO12
_symmetry_space_group_name_H-M 'P 1'
_symmetry_Int_Tables_number 1
_cell_length_a 5.870
_cell_length_b 6.783
_cell_length_c 6.797
_cell_angle_alpha 83.82
_cell_angle_beta 74.59
_cell_angle_gamma 74.46
loop_
_symmetry_equiv_pos_as_xyz
'x,y,z'
loop_
_atom_site_label
_atom_site_fract_x
_atom_site_fract_y
_atom_site_fract_z
V1 0.000 0.000 0.000
V2 0.009 0.411 0.407
V3 0.498 0.184 0.819
V4 0.510 0.593 0.225
Co1 0.003 0.882 0.528
Ni1 0.504 0.713 0.697
O1 0.026 0.178 0.524
O2 0.118 0.831 0.805
O3 0.199 0.169 0.963
O4 0.309 0.426 0.264
O5 0.394 0.763 0.419
O6 0.481 0.417 0.703
O7 0.526 0.710 0.993
O8 0.615 0.991 0.649
O9 0.700 0.144 0.986
O10 0.809 0.448 0.239
O11 0.888 0.605 0.577
O12 0.985 0.882 0.231
```

Most intense lines, 2θ = 10–90°, by intensity:
- d 3.176, 2θ = 28.09°, I 100
- d 2.971, 2θ = 30.08°, I 61
- d 4.536, 2θ = 19.57°, I 47
- d 2.740, 2θ = 32.69°, I 45
- d 4.832, 2θ = 18.36°, I 44
- d 6.538, 2θ = 13.54°, I 27
- d 2.543, 2θ = 35.29°, I 25
- d 2.021, 2θ = 44.86°, I 24
- d 3.764, 2θ = 23.64°, I 24
- d 1.796, 2θ = 50.85°, I 18